Computed XRD peak list
Compound: Li3Cu2O4
Radiation: λ = 1.5418 Å (Cu Kα)
Structure: a cell relaxed with GGA-PBE
No peak broadening, texture or thermal motion is included.

Crystal structure
Unit cell a=10.113 b=2.797 c=7.329 alpha=90.00 beta=115.94 gamma=90.00
Space group Cm (No. 8)
One atom of each set of equivalent atoms:
Li 0.000 0.000 0.000 (multiplicity 2)
Li 0.112 0.500 0.345 (multiplicity 2)
Li 0.281 0.000 0.740 (multiplicity 2)
Cu 0.294 0.500 0.141 (multiplicity 2)
Cu 0.491 0.000 0.614 (multiplicity 2)
O 0.081 0.000 0.532 (multiplicity 2)
O 0.197 0.000 0.211 (multiplicity 2)
O 0.386 0.000 0.060 (multiplicity 2)
O 0.409 0.500 0.709 (multiplicity 2)

Peak list (8 most intense, 10 to 80 degrees two-theta, in order of falling intensity)
| two_theta | I_rel |
| --- | --- |
| 18.22 | 100 |
| 27.06 | 85 |
| 28.31 | 85 |
| 44.49 | 52 |
| 56.76 | 32 |
| 44.05 | 25 |
| 34.54 | 19 |
| 19.52 | 18 |